For MgCr2F12, a GGA+U-relaxed structure gives the computed X-ray diffraction stick pattern in this record (Cu Kα (weighted mean of Kα1 and Kα2)).
Neutral-atom scattering factors, no anomalous dispersion.

Crystal structure
a = 5.2071 Å, b = 5.3473 Å, c = 8.9768 Å
α = 73.55°, β = 89.97°, γ = 60.91°
Space group P-1 (No. 2)
Asymmetric unit:
Mg (0.0000, 0.0000, 0.0000) x1
Cr (0.2428, 0.5068, 0.7399) x2
F (0.1412, 0.2664, 0.3224) x2
F (0.1760, 0.2615, 0.9116) x2
F (0.2162, 0.7373, 0.8680) x2
F (0.2828, 0.2643, 0.6356) x2
F (0.3247, 0.7345, 0.5916) x2
F (0.3521, 0.7378, 0.1743) x2

Peak list (10 most intense, 5 to 70 degrees two-theta, most intense first)
2θ/deg  intensity
23.90  100
20.82  27
48.93  25
40.21  22
54.44  17
20.08  15
20.92  14
40.38  11
55.87  7
54.58  5